For Cd4SiO5, the PBE geometry in Alexandria gives the calculated PXRD pattern in this record (λ = 1.5418 Å (Cu Kα)).
No peak broadening, texture or thermal motion is included.

Crystal structure
Unit cell a=5.9022 b=5.9022 c=5.9022 alpha=97.95 beta=97.95 gamma=136.33
Sites, in units of the cell vectors:
Cd  0.0960  0.6842  0.7802
Cd  0.3158  0.0960  0.4118
Cd  0.6842  0.9040  0.5882
Cd  0.9040  0.3158  0.2198
Si  0.4432  0.4432  0.0000
O  0.0566  0.0566  0.0000
O  0.3070  0.4023  0.6911
O  0.4023  0.7112  0.0953
O  0.6159  0.3070  0.9047
O  0.7112  0.6159  0.3089

Largest 6 diffraction maxima, low angle first, 2θ = 10–90°:
2theta	I/Imax
32.93	100
36.68	50
41.12	21
52.84	15
56.27	26
63.68	31


For Cd5Si2O10, the PBE geometry in Alexandria gives the calculated PXRD pattern in this record (λ = 1.5418 Å (Cu Kα)).
No peak broadening, texture or thermal motion is included.

Crystal structure
Unit cell a=8.7577 b=5.0107 c=11.3984 alpha=90.00 beta=108.64 gamma=90.00
Sites, in units of the cell vectors:
Cd  0.0000  0.0000  0.0000
Cd  0.0000  0.5000  0.5000
Cd  0.2010  0.0143  0.3341
Cd  0.2010  0.4857  0.8341
Cd  0.4238  0.0148  0.1152
Cd  0.4238  0.4852  0.6152
Cd  0.5762  0.5148  0.3848
Cd  0.5762  0.9852  0.8848
Cd  0.7990  0.5143  0.1659
Cd  0.7990  0.9857  0.6659
Si  0.2008  0.5742  0.1453
Si  0.2008  0.9258  0.6453
Si  0.7992  0.0742  0.3547
Si  0.7992  0.4258  0.8547
O  0.0435  0.7060  0.1761
O  0.0435  0.7940  0.6761
O  0.1935  0.6999  0.0083
O  0.1935  0.8001  0.5083
O  0.2077  0.2467  0.1494
O  0.2077  0.2533  0.6494
O  0.3605  0.7147  0.2474
O  0.3605  0.7853  0.7474
O  0.4216  0.2305  0.4539
O  0.4216  0.2695  0.9539
O  0.5784  0.7305  0.0461
O  0.5784  0.7695  0.5461
O  0.6395  0.2147  0.2526
O  0.6395  0.2853  0.7526
O  0.7923  0.7467  0.3506
O  0.7923  0.7533  0.8506
O  0.8065  0.1999  0.4917
O  0.8065  0.3001  0.9917
O  0.9565  0.2060  0.3239
O  0.9565  0.2940  0.8239

Largest 6 diffraction maxima, low angle first, 2θ = 10–90°:
2theta	I/Imax
23.55	76
27.08	57
29.64	77
31.09	100
32.57	45
48.33	77


For YCdSiO4, the PBE geometry in Alexandria gives the calculated PXRD pattern in this record (λ = 1.5418 Å (Cu Kα)).
No peak broadening, texture or thermal motion is included.

Crystal structure
Unit cell a=6.3997 b=6.3997 c=6.3997 alpha=124.54 beta=114.65 gamma=90.91
Sites, in units of the cell vectors:
Y  0.0000  0.0000  0.0000
Y  0.5000  0.0000  0.5000
Cd  0.5000  0.0000  0.0000
Cd  0.5000  0.5000  0.5000
Si  0.1131  0.3631  0.7500
Si  0.8869  0.6369  0.2500
O  0.1890  0.7426  0.4464
O  0.2038  0.2574  0.9464
O  0.2243  0.2454  0.5211
O  0.2243  0.7032  0.9789
O  0.7757  0.2968  0.0211
O  0.7757  0.7546  0.4789
O  0.7962  0.7426  0.0536
O  0.8109  0.2574  0.5536

Largest 6 diffraction maxima, low angle first, 2θ = 10–90°:
2theta	I/Imax
16.19	83
31.55	78
32.71	64
34.28	100
39.97	87
57.96	78


> What is the formula in the second record?

Cd5Si2O10


Repeat the third record exactly.
For YCdSiO4, the PBE geometry in Alexandria gives the calculated PXRD pattern in this record (λ = 1.5418 Å (Cu Kα)).
No peak broadening, texture or thermal motion is included.

Crystal structure
Unit cell a=6.3997 b=6.3997 c=6.3997 alpha=124.54 beta=114.65 gamma=90.91
Sites, in units of the cell vectors:
Y  0.0000  0.0000  0.0000
Y  0.5000  0.0000  0.5000
Cd  0.5000  0.0000  0.0000
Cd  0.5000  0.5000  0.5000
Si  0.1131  0.3631  0.7500
Si  0.8869  0.6369  0.2500
O  0.1890  0.7426  0.4464
O  0.2038  0.2574  0.9464
O  0.2243  0.2454  0.5211
O  0.2243  0.7032  0.9789
O  0.7757  0.2968  0.0211
O  0.7757  0.7546  0.4789
O  0.7962  0.7426  0.0536
O  0.8109  0.2574  0.5536

Largest 6 diffraction maxima, low angle first, 2θ = 10–90°:
2theta	I/Imax
16.19	83
31.55	78
32.71	64
34.28	100
39.97	87
57.96	78